Starting from a DFT-relaxed cell (GGA-PBE, Alexandria), the powder diffractogram of Tb4PrAs5 was computed for Cu Kα X-rays.

Cell and atoms:
```
data_Tb4PrAs5
_symmetry_space_group_name_H-M 'I m m m'
_symmetry_Int_Tables_number 71
_symmetry_space_group_name_Hall '-I 2 2'
_cell_length_a 4.175
_cell_length_b 5.904
_cell_length_c 20.862
_cell_angle_alpha 90.00
_cell_angle_beta 90.00
_cell_angle_gamma 90.00
loop_
_atom_site_label
_atom_site_type_symbol
_atom_site_fract_x
_atom_site_fract_y
_atom_site_fract_z
Tb1 Tb 0.000 0.000 0.101
Tb2 Tb 0.000 0.000 0.298
Pr1 Pr 0.000 0.000 0.500
As1 As 0.000 0.500 0.104
As2 As 0.000 0.500 0.300
As3 As 0.000 0.500 0.500
```

Peak list (8 most intense, 2θ from 10° to 90°, sorted by position)
- 2θ 26.1, I = 21
- 2θ 30.3, I = 100
- 2θ 43.4, I = 75
- 2θ 51.3, I = 10
- 2θ 53.8, I = 26
- 2θ 63.0, I = 12
- 2θ 71.5, I = 33
- 2θ 79.6, I = 25

Starting from a DFT-relaxed cell (GGA-PBE, Alexandria), the powder diffractogram of Pr4Te3As was computed for Cu Kα X-rays.

Cell and atoms:
```
data_Pr4Te3As
_symmetry_space_group_name_H-M 'C m m m'
_symmetry_Int_Tables_number 65
_symmetry_space_group_name_Hall '-C 2 2'
_cell_length_a 9.068
_cell_length_b 12.695
_cell_length_c 4.434
_cell_angle_alpha 90.00
_cell_angle_beta 90.00
_cell_angle_gamma 90.00
loop_
_atom_site_label
_atom_site_type_symbol
_atom_site_fract_x
_atom_site_fract_y
_atom_site_fract_z
Pr1 Pr 0.000 0.235 0.000
Pr2 Pr 0.225 0.000 0.500
Te1 Te 0.000 0.500 0.000
Te2 Te 0.250 0.250 0.500
As1 As 0.000 0.000 0.000
```

Peak list (8 most intense, 2θ from 10° to 90°, sorted by position)
- 2θ 28.1, I = 100
- 2θ 39.8, I = 12
- 2θ 40.2, I = 49
- 2θ 40.7, I = 13
- 2θ 49.4, I = 12
- 2θ 50.2, I = 13
- 2θ 58.2, I = 12
- 2θ 65.8, I = 20

Starting from a DFT-relaxed cell (GGA-PBE, Alexandria), the powder diffractogram of Pr7TeAs5 was computed for Cu Kα X-rays.

Cell and atoms:
```
data_Pr7TeAs5
_symmetry_space_group_name_H-M 'C 1 2/m 1'
_symmetry_Int_Tables_number 12
_cell_length_a 14.259
_cell_length_b 4.308
_cell_length_c 25.431
_cell_angle_alpha 90.00
_cell_angle_beta 90.02
_cell_angle_gamma 90.00
loop_
_symmetry_equiv_pos_as_xyz
'x,y,z'
'-x,-y,-z'
'-x,y,-z'
'x,-y,z'
'x+1/2,y+1/2,z'
'-x+1/2,-y+1/2,-z'
'-x+1/2,y+1/2,-z'
'x+1/2,-y+1/2,z'
loop_
_atom_site_label
_atom_site_type_symbol
_atom_site_fract_x
_atom_site_fract_y
_atom_site_fract_z
Pr1 Pr 0.033 0.000 0.250
Pr2 Pr 0.089 0.500 0.104
Pr3 Pr 0.089 0.500 0.396
Pr4 Pr 0.137 0.000 0.535
Pr5 Pr 0.137 0.000 0.965
Pr6 Pr 0.176 0.500 0.673
Pr7 Pr 0.176 0.500 0.827
Te1 Te 0.202 0.500 0.250
As1 As 0.000 0.500 0.000
As2 As 0.000 0.500 0.500
As3 As 0.044 0.000 0.643
As4 As 0.044 0.000 0.857
As5 As 0.227 0.000 0.427
As6 As 0.228 0.000 0.073
```

Peak list (8 most intense, 2θ from 10° to 90°, sorted by position)
- 2θ 27.6, I = 85
- 2θ 28.8, I = 100
- 2θ 29.9, I = 84
- 2θ 30.8, I = 21
- 2θ 41.7, I = 29
- 2θ 41.9, I = 100
- 2θ 43.7, I = 28
- 2θ 50.9, I = 31

Starting from a DFT-relaxed cell (GGA-PBE, Alexandria), the powder diffractogram of Pr5Te2As2 was computed for Cu Kα X-rays.

Cell and atoms:
```
data_Pr5Te2As2
_symmetry_space_group_name_H-M 'C m c e'
_symmetry_Int_Tables_number 64
_symmetry_space_group_name_Hall '-C 2ac 2'
_cell_length_a 15.826
_cell_length_b 8.191
_cell_length_c 8.176
_cell_angle_alpha 90.00
_cell_angle_beta 90.00
_cell_angle_gamma 90.00
loop_
_atom_site_label
_atom_site_type_symbol
_atom_site_fract_x
_atom_site_fract_y
_atom_site_fract_z
Pr1 Pr 0.000 0.000 0.000
Pr2 Pr 0.127 0.158 0.342
Te1 Te 0.201 0.000 0.000
As1 As 0.000 0.146 0.645
```

Peak list (8 most intense, 2θ from 10° to 90°, sorted by position)
- 2θ 24.3, I = 24
- 2θ 29.7, I = 56
- 2θ 30.9, I = 32
- 2θ 31.5, I = 43
- 2θ 32.2, I = 46
- 2θ 33.3, I = 66
- 2θ 35.1, I = 100
- 2θ 37.6, I = 26

What is the formula in the first record?
Tb4PrAs5

Please write out number 2 again, unchanged.
Starting from a DFT-relaxed cell (GGA-PBE, Alexandria), the powder diffractogram of Pr4Te3As was computed for Cu Kα X-rays.

Cell and atoms:
```
data_Pr4Te3As
_symmetry_space_group_name_H-M 'C m m m'
_symmetry_Int_Tables_number 65
_symmetry_space_group_name_Hall '-C 2 2'
_cell_length_a 9.068
_cell_length_b 12.695
_cell_length_c 4.434
_cell_angle_alpha 90.00
_cell_angle_beta 90.00
_cell_angle_gamma 90.00
loop_
_atom_site_label
_atom_site_type_symbol
_atom_site_fract_x
_atom_site_fract_y
_atom_site_fract_z
Pr1 Pr 0.000 0.235 0.000
Pr2 Pr 0.225 0.000 0.500
Te1 Te 0.000 0.500 0.000
Te2 Te 0.250 0.250 0.500
As1 As 0.000 0.000 0.000
```

Peak list (8 most intense, 2θ from 10° to 90°, sorted by position)
- 2θ 28.1, I = 100
- 2θ 39.8, I = 12
- 2θ 40.2, I = 49
- 2θ 40.7, I = 13
- 2θ 49.4, I = 12
- 2θ 50.2, I = 13
- 2θ 58.2, I = 12
- 2θ 65.8, I = 20